Ti2CoNiSn2: simulated X-ray powder pattern (a wavelength of 1.5418 Å), based on a structure optimized by DFT (PBE).
Kinematic intensities with the Lorentz-polarization factor, no thermal factor.

Most intense lines, 10 to 80 degrees two-theta, in order of rising 2θ:
d_spacing  I_rel
3.541  26
3.067  46
2.169  100
1.849  13
1.771  13
1.534  16
1.407  6
1.372  17
1.252  33

Atomic structure:
```
data_Ti2CoNiSn2
_chemical_formula_sum 'Ti2 Co1 Ni1 Sn2'
_cell_length_a 7.5119
_cell_length_b 7.5119
_cell_length_c 7.5119
_cell_angle_alpha 33.56
_cell_angle_beta 33.56
_cell_angle_gamma 33.56
_space_group_name_H-M_alt 'P 1'
_space_group_IT_number 1
_space_group_name_Hall 'P 1'
loop_
_atom_site_label
_atom_site_type_symbol
_atom_site_fract_x
_atom_site_fract_y
_atom_site_fract_z
Ti1 Ti 0.0000 0.0000 0.0000
Ti2 Ti 0.4996 0.4996 0.4996
Co1 Co 0.8752 0.8752 0.8752
Ni1 Ni 0.3747 0.3747 0.3747
Sn1 Sn 0.1263 0.1263 0.1263
Sn2 Sn 0.6235 0.6235 0.6235
```

CeSc3B4O12: simulated X-ray powder pattern (a wavelength of 1.5418 Å), based on a structure optimized by DFT (PBE).
Kinematic intensities with the Lorentz-polarization factor, no thermal factor.

Most intense lines, 10 to 80 degrees two-theta, in order of rising 2θ:
d_spacing  I_rel
5.863  36
4.942  24
3.779  60
3.002  27
2.931  100
2.521  21
2.471  22
2.068  16
2.045  19
1.819  49

Atomic structure:
```
data_CeSc3B4O12
_chemical_formula_sum 'Ce1 Sc3 B4 O12'
_cell_length_a 6.3053
_cell_length_b 6.3053
_cell_length_c 6.3053
_cell_angle_alpha 103.21
_cell_angle_beta 103.21
_cell_angle_gamma 103.21
_space_group_name_H-M_alt 'P 1'
_space_group_IT_number 1
_space_group_name_Hall 'P 1'
loop_
_atom_site_label
_atom_site_type_symbol
_atom_site_fract_x
_atom_site_fract_y
_atom_site_fract_z
Ce1 Ce 0.0000 0.0000 0.0000
Sc1 Sc 0.0000 0.5480 0.4520
Sc2 Sc 0.4520 0.0000 0.5480
Sc3 Sc 0.5480 0.4520 0.0000
B1 B 0.0496 0.5000 0.9504
B2 B 0.5000 0.5000 0.5000
B3 B 0.5000 0.9504 0.0496
B4 B 0.9504 0.0496 0.5000
O1 O 0.0304 0.6275 0.7992
O2 O 0.0907 0.9093 0.5000
O3 O 0.2008 0.3725 0.9696
O4 O 0.3595 0.6405 0.5000
O5 O 0.3725 0.9696 0.2008
O6 O 0.5000 0.0907 0.9093
O7 O 0.5000 0.3595 0.6405
O8 O 0.6275 0.7992 0.0304
O9 O 0.6405 0.5000 0.3595
O10 O 0.7992 0.0304 0.6275
O11 O 0.9093 0.5000 0.0907
O12 O 0.9696 0.2008 0.3725
```

Ce2B4Ir3Rh3: simulated X-ray powder pattern (a wavelength of 1.5418 Å), based on a structure optimized by DFT (PBE).
Kinematic intensities with the Lorentz-polarization factor, no thermal factor.

Most intense lines, 10 to 80 degrees two-theta, in order of rising 2θ:
d_spacing  I_rel
3.102  17
2.602  64
2.389  100
2.061  38
1.892  29
1.560  27
1.417  11
1.379  19
1.301  29
1.218  12

Atomic structure:
```
data_Ce2B4Ir3Rh3
_chemical_formula_sum 'Ce2 B4 Ir3 Rh3'
_cell_length_a 5.5178
_cell_length_b 3.1018
_cell_length_c 9.5513
_cell_angle_alpha 90.00
_cell_angle_beta 90.01
_cell_angle_gamma 90.00
_space_group_name_H-M_alt 'P 1'
_space_group_IT_number 1
_space_group_name_Hall 'P 1'
loop_
_atom_site_label
_atom_site_type_symbol
_atom_site_fract_x
_atom_site_fract_y
_atom_site_fract_z
Ce1 Ce 0.2501 0.0000 0.2498
Ce2 Ce 0.7499 0.0000 0.7502
B1 B 0.2500 0.0000 0.5833
B2 B 0.2501 0.0000 0.9165
B3 B 0.7499 0.0000 0.0835
B4 B 0.7500 0.0000 0.4167
Ir1 Ir 0.0000 0.5000 0.5000
Ir2 Ir 0.2500 0.5000 0.7503
Ir3 Ir 0.7500 0.5000 0.2497
Rh1 Rh 0.0000 0.5000 0.0000
Rh2 Rh 0.5000 0.5000 0.0000
Rh3 Rh 0.5000 0.5000 0.5000
```

CaH16O10: simulated X-ray powder pattern (a wavelength of 1.5418 Å), based on a structure optimized by DFT (PBE).
Kinematic intensities with the Lorentz-polarization factor, no thermal factor.

Most intense lines, 10 to 80 degrees two-theta, in order of rising 2θ:
d_spacing  I_rel
6.372  24
5.991  100
3.986  43
3.509  34
3.370  26
3.252  27
2.995  41
2.961  24
2.775  29
2.602  31

Atomic structure:
```
data_CaH16O10
_chemical_formula_sum 'Ca2 H32 O20'
_cell_length_a 5.9542
_cell_length_b 6.4351
_cell_length_c 12.2580
_cell_angle_alpha 82.58
_cell_angle_beta 79.83
_cell_angle_gamma 85.63
_space_group_name_H-M_alt 'P 1'
_space_group_IT_number 1
_space_group_name_Hall 'P 1'
loop_
_atom_site_label
_atom_site_type_symbol
_atom_site_fract_x
_atom_site_fract_y
_atom_site_fract_z
Ca1 Ca 0.0000 0.0000 0.0000
Ca2 Ca 0.0768 0.0690 0.5376
H1 H 0.0416 0.7829 0.3883
H2 H 0.0596 0.4390 0.9079
H3 H 0.2337 0.4255 0.1424
H4 H 0.2487 0.6505 0.6383
H5 H 0.2942 0.6968 0.4250
H6 H 0.2981 0.8939 0.2153
H7 H 0.3069 0.3907 0.9319
H8 H 0.3080 0.1354 0.7370
H9 H 0.3629 0.2353 0.3297
H10 H 0.4003 0.3092 0.6336
H11 H 0.4034 0.7461 0.9126
H12 H 0.4184 0.7719 0.1158
H13 H 0.4310 0.3512 0.4276
H14 H 0.4738 0.9850 0.8975
H15 H 0.5867 0.9764 0.6343
H16 H 0.6143 0.0967 0.1436
H17 H 0.6234 0.3455 0.1087
H18 H 0.6292 0.7479 0.5978
H19 H 0.6389 0.3079 0.9217
H20 H 0.6582 0.7434 0.4079
H21 H 0.7106 0.9905 0.3831
H22 H 0.7180 0.4078 0.6292
H23 H 0.7441 0.6457 0.9235
H24 H 0.7497 0.3848 0.4292
H25 H 0.7535 0.2142 0.8090
H26 H 0.8219 0.8152 0.2302
H27 H 0.9503 0.6261 0.1706
H28 H 0.9514 0.4107 0.6795
H29 H 0.9521 0.7318 0.8260
H30 H 0.9643 0.3254 0.3356
H31 H 0.9715 0.7222 0.6440
H32 H 0.9833 0.3066 0.1674
O1 O 0.0847 0.3867 0.1996
O2 O 0.1118 0.7390 0.6732
O3 O 0.1728 0.3196 0.9127
O4 O 0.1886 0.8210 0.4059
O5 O 0.3414 0.1606 0.6552
O6 O 0.3496 0.8979 0.8887
O7 O 0.3655 0.9179 0.1363
O8 O 0.3803 0.2138 0.4079
O9 O 0.4603 0.5162 0.0818
O10 O 0.4973 0.5327 0.5894
O11 O 0.5039 0.5219 0.9576
O12 O 0.5186 0.5461 0.4654
O13 O 0.7118 0.8745 0.6074
O14 O 0.7133 0.1739 0.8901
O15 O 0.7276 0.2061 0.1262
O16 O 0.7658 0.8507 0.3628
O17 O 0.8489 0.3164 0.6595
O18 O 0.8766 0.7687 0.1550
O19 O 0.8821 0.2802 0.4120
O20 O 0.9017 0.7070 0.9072
```

NaSn2P3O12: simulated X-ray powder pattern (a wavelength of 1.5418 Å), based on a structure optimized by DFT (PBE).
Kinematic intensities with the Lorentz-polarization factor, no thermal factor.

Most intense lines, 10 to 80 degrees two-theta, in order of rising 2θ:
d_spacing  I_rel
4.532  82
4.342  100
3.767  52
3.135  50
2.854  78
2.542  26
2.507  39
1.883  28
1.775  25
1.641  26

Atomic structure:
```
data_NaSn2P3O12
_chemical_formula_sum 'Na2 Sn4 P6 O24'
_cell_length_a 9.0819
_cell_length_b 9.0819
_cell_length_c 9.0819
_cell_angle_alpha 57.12
_cell_angle_beta 57.12
_cell_angle_gamma 57.12
_space_group_name_H-M_alt 'P 1'
_space_group_IT_number 1
_space_group_name_Hall 'P 1'
loop_
_atom_site_label
_atom_site_type_symbol
_atom_site_fract_x
_atom_site_fract_y
_atom_site_fract_z
Na1 Na 0.0000 0.0000 0.0000
Na2 Na 0.5000 0.5000 0.5000
Sn1 Sn 0.1457 0.1457 0.1457
Sn2 Sn 0.3528 0.3528 0.3528
Sn3 Sn 0.6472 0.6472 0.6472
Sn4 Sn 0.8543 0.8543 0.8543
P1 P 0.0418 0.7509 0.4571
P2 P 0.2491 0.5429 0.9582
P3 P 0.4571 0.0418 0.7509
P4 P 0.5429 0.9582 0.2491
P5 P 0.7509 0.4571 0.0418
P6 P 0.9582 0.2491 0.5429
O1 O 0.0103 0.8007 0.6113
O2 O 0.0949 0.9016 0.2622
O3 O 0.0984 0.7378 0.9051
O4 O 0.1332 0.2585 0.5224
O5 O 0.1993 0.3887 0.9897
O6 O 0.2088 0.5620 0.4643
O7 O 0.2585 0.5224 0.1332
O8 O 0.2622 0.0949 0.9016
O9 O 0.3887 0.9897 0.1993
O10 O 0.4380 0.5357 0.7912
O11 O 0.4643 0.2088 0.5620
O12 O 0.4776 0.8668 0.7415
O13 O 0.5224 0.1332 0.2585
O14 O 0.5357 0.7912 0.4380
O15 O 0.5620 0.4643 0.2088
O16 O 0.6113 0.0103 0.8007
O17 O 0.7378 0.9051 0.0984
O18 O 0.7415 0.4776 0.8668
O19 O 0.7912 0.4380 0.5357
O20 O 0.8007 0.6113 0.0103
O21 O 0.8668 0.7415 0.4776
O22 O 0.9016 0.2622 0.0949
O23 O 0.9051 0.0984 0.7378
O24 O 0.9897 0.1993 0.3887
```

Nd2MgSe4: simulated X-ray powder pattern (a wavelength of 1.5418 Å), based on a structure optimized by DFT (PBE).
Kinematic intensities with the Lorentz-polarization factor, no thermal factor.

Most intense lines, 10 to 80 degrees two-theta, in order of rising 2θ:
d_spacing  I_rel
4.477  100
3.820  84
3.805  42
3.079  39
2.661  38
2.431  38
2.254  54
2.242  54
2.233  53
2.020  54

Atomic structure:
```
data_Nd2MgSe4
_chemical_formula_sum 'Nd8 Mg4 Se16'
_cell_length_a 7.7334
_cell_length_b 9.0163
_cell_length_c 13.6898
_cell_angle_alpha 99.40
_cell_angle_beta 95.96
_cell_angle_gamma 90.29
_space_group_name_H-M_alt 'P 1'
_space_group_IT_number 1
_space_group_name_Hall 'P 1'
loop_
_atom_site_label
_atom_site_type_symbol
_atom_site_fract_x
_atom_site_fract_y
_atom_site_fract_z
Nd1 Nd 0.1313 0.4431 0.3078
Nd2 Nd 0.1351 0.9603 0.3117
Nd3 Nd 0.2550 0.1321 0.0005
Nd4 Nd 0.3665 0.2998 0.6894
Nd5 Nd 0.6335 0.7002 0.3106
Nd6 Nd 0.7450 0.8679 0.9995
Nd7 Nd 0.8649 0.0397 0.6883
Nd8 Nd 0.8687 0.5569 0.6922
Mg1 Mg 0.2514 0.6206 0.9940
Mg2 Mg 0.3648 0.7997 0.7042
Mg3 Mg 0.6352 0.2003 0.2958
Mg4 Mg 0.7486 0.3794 0.0060
Se1 Se 0.0916 0.4121 0.1002
Se2 Se 0.1130 0.8926 0.1042
Se3 Se 0.1988 0.5490 0.6234
Se4 Se 0.2015 0.0142 0.6275
Se5 Se 0.3051 0.7195 0.3837
Se6 Se 0.3432 0.2207 0.3764
Se7 Se 0.3844 0.8394 0.8940
Se8 Se 0.4136 0.3585 0.8972
Se9 Se 0.5864 0.6415 0.1028
Se10 Se 0.6156 0.1606 0.1060
Se11 Se 0.6568 0.7793 0.6236
Se12 Se 0.6949 0.2805 0.6163
Se13 Se 0.7985 0.9858 0.3725
Se14 Se 0.8012 0.4510 0.3766
Se15 Se 0.8870 0.1074 0.8958
Se16 Se 0.9084 0.5879 0.8998
```

MgAg4O6: simulated X-ray powder pattern (a wavelength of 1.5418 Å), based on a structure optimized by DFT (PBE).
Kinematic intensities with the Lorentz-polarization factor, no thermal factor.

Most intense lines, 10 to 80 degrees two-theta, in order of rising 2θ:
d_spacing  I_rel
4.320  100
2.919  90
2.719  66
2.200  71
1.960  24
1.729  30
1.606  32
1.575  17
1.425  15
1.350  17

Atomic structure:
```
data_MgAg4O6
_chemical_formula_sum 'Mg1 Ag4 O6'
_cell_length_a 5.8835
_cell_length_b 5.8835
_cell_length_c 5.8835
_cell_angle_alpha 72.02
_cell_angle_beta 72.02
_cell_angle_gamma 72.02
_space_group_name_H-M_alt 'P 1'
_space_group_IT_number 1
_space_group_name_Hall 'P 1'
loop_
_atom_site_label
_atom_site_type_symbol
_atom_site_fract_x
_atom_site_fract_y
_atom_site_fract_z
Mg1 Mg 0.0000 0.0000 0.0000
Ag1 Ag 0.0000 0.0000 0.5000
Ag2 Ag 0.0000 0.5000 0.0000
Ag3 Ag 0.5000 0.0000 0.0000
Ag4 Ag 0.5000 0.5000 0.5000
O1 O 0.1745 0.7623 0.7623
O2 O 0.2377 0.2377 0.8255
O3 O 0.2377 0.8255 0.2377
O4 O 0.7623 0.1745 0.7623
O5 O 0.7623 0.7623 0.1745
O6 O 0.8255 0.2377 0.2377
```